Starting from a crystal structure in Alexandria, relaxed with PBE, the powder XRD pattern of Hg3TeBr was calculated for Cu Kα.
Neutral-atom scattering factors, no anomalous dispersion.

```
data_Hg3TeBr
_chemical_formula_sum 'Hg18 Te6 Br6'
_space_group_name_H-M_alt 'R 3 c'
_space_group_IT_number 161
_space_group_name_Hall 'R 3 -2"c'
_cell_length_a 7.8033
_cell_length_b 7.8033
_cell_length_c 20.9038
_cell_angle_alpha 90.00
_cell_angle_beta 90.00
_cell_angle_gamma 120.00
loop_
_atom_site_label
_atom_site_fract_x
_atom_site_fract_y
_atom_site_fract_z
Hg1 0.0000 0.3926 0.0000
Te1 0.0000 0.0000 0.2500
Br1 0.0000 0.0000 0.4976
```

Largest 10 diffraction maxima, low angle first, 2θ = 10–80°:
h k l, 2θ (°), I (rel.)
0 1 2, 15.6, 20
0 0 6, 25.6, 28
1 1 3, 26.2, 100
0 2 4, 31.5, 39
1 1 6, 34.5, 24
2 1 1, 35.4, 15
3 0 0, 40.0, 28
2 0 8, 43.8, 16
1 1 9, 45.4, 25
1 3 1, 48.8, 15

Starting from a crystal structure in Alexandria, relaxed with PBE, the powder XRD pattern of Hg3Te2Br2 was calculated for Cu Kα.
Neutral-atom scattering factors, no anomalous dispersion.

```
data_Hg3Te2Br2
_chemical_formula_sum 'Hg12 Te8 Br8'
_space_group_name_H-M_alt 'I 21 3'
_space_group_IT_number 199
_space_group_name_Hall 'I 2b 2c 3'
_cell_length_a 9.8864
_cell_length_b 9.8864
_cell_length_c 9.8864
_cell_angle_alpha 90.00
_cell_angle_beta 90.00
_cell_angle_gamma 90.00
loop_
_atom_site_label
_atom_site_fract_x
_atom_site_fract_y
_atom_site_fract_z
Hg1 0.0000 0.2500 0.3131
Te1 0.2270 0.2730 0.7270
Br1 0.0053 0.0053 0.0053
```

Largest 10 diffraction maxima, low angle first, 2θ = 10–80°:
h k l, 2θ (°), I (rel.)
2 1 1, 22.0, 100
3 0 1, 28.6, 94
2 2 2, 31.3, 29
3 1 2, 33.9, 39
4 0 0, 36.3, 63
3 3 0, 38.6, 36
4 2 2, 44.9, 29
4 1 3, 46.9, 72
4 3 3, 54.1, 31
7 0 1, 66.9, 29

Starting from a crystal structure in Alexandria, relaxed with PBE, the powder XRD pattern of Hg3Te2Br2 was calculated for Cu Kα.
Neutral-atom scattering factors, no anomalous dispersion.

```
data_Hg3Te2Br2
_chemical_formula_sum 'Hg6 Te4 Br4'
_space_group_name_H-M_alt 'P 1 21/c 1'
_space_group_IT_number 14
_space_group_name_Hall '-P 2ybc'
_cell_length_a 7.5022
_cell_length_b 7.9480
_cell_length_c 11.5358
_cell_angle_alpha 90.00
_cell_angle_beta 128.70
_cell_angle_gamma 90.00
loop_
_atom_site_label
_atom_site_fract_x
_atom_site_fract_y
_atom_site_fract_z
Hg1 0.0000 0.0000 0.0000
Hg2 0.0089 0.0568 0.6758
Te1 0.2441 0.6447 0.4264
Br1 0.2972 0.1306 0.5944
```

Largest 10 diffraction maxima, low angle first, 2θ = 10–80°:
h k l, 2θ (°), I (rel.)
1 0 0, 15.1, 100
0 2 0, 22.4, 24
0 1 2, 22.7, 38
1 2 0, 27.1, 42
2 1 -3, 28.4, 50
0 1 3, 31.9, 43
1 2 1, 32.1, 34
3 1 -3, 37.7, 47
1 3 -3, 41.5, 30
1 1 3, 43.1, 40

Starting from a crystal structure in Alexandria, relaxed with PBE, the powder XRD pattern of HgTeBr3 was calculated for Cu Kα.
Neutral-atom scattering factors, no anomalous dispersion.

```
data_HgTeBr3
_chemical_formula_sum 'Hg4 Te4 Br12'
_space_group_name_H-M_alt 'P 1 2/c 1'
_space_group_IT_number 13
_space_group_name_Hall '-P 2yc'
_cell_length_a 9.8543
_cell_length_b 5.7831
_cell_length_c 17.3567
_cell_angle_alpha 90.00
_cell_angle_beta 122.13
_cell_angle_gamma 90.00
loop_
_atom_site_label
_atom_site_fract_x
_atom_site_fract_y
_atom_site_fract_z
Hg1 0.1803 0.1046 0.1173
Te1 0.3904 0.4660 0.1516
Br1 0.1409 0.1751 0.4686
Br2 0.2134 0.2717 0.7172
Br3 0.4438 0.2321 0.3964
```

Largest 10 diffraction maxima, low angle first, 2θ = 10–80°:
h k l, 2θ (°), I (rel.)
1 0 -2, 11.0, 100
1 1 0, 18.7, 24
0 1 3, 23.8, 56
0 0 4, 24.2, 14
2 1 -5, 30.5, 25
1 0 4, 31.4, 12
3 0 0, 32.2, 24
2 1 -6, 34.7, 16
2 0 -8, 41.9, 11
3 2 1, 48.1, 12

Starting from a crystal structure in Alexandria, relaxed with PBE, the powder XRD pattern of HgTe2Br2 was calculated for Cu Kα.
Neutral-atom scattering factors, no anomalous dispersion.

```
data_HgTe2Br2
_chemical_formula_sum 'Hg2 Te4 Br4'
_space_group_name_H-M_alt 'I 4/m m m'
_space_group_IT_number 139
_space_group_name_Hall '-I 4 2'
_cell_length_a 6.0315
_cell_length_b 6.0315
_cell_length_c 10.3867
_cell_angle_alpha 90.00
_cell_angle_beta 90.00
_cell_angle_gamma 90.00
loop_
_atom_site_label
_atom_site_fract_x
_atom_site_fract_y
_atom_site_fract_z
Hg1 0.0000 0.0000 0.0000
Te1 0.0000 0.0000 0.3789
Br1 0.0000 0.5000 0.2500
```

Largest 10 diffraction maxima, low angle first, 2θ = 10–80°:
h k l, 2θ (°), I (rel.)
1 1 0, 20.8, 50
1 1 2, 27.1, 95
2 0 0, 29.6, 100
1 0 3, 29.8, 69
2 2 0, 42.4, 90
1 0 5, 46.2, 27
3 1 2, 51.0, 33
2 1 5, 55.9, 29
4 0 0, 61.5, 30
4 2 0, 69.8, 29

Starting from a crystal structure in Alexandria, relaxed with PBE, the powder XRD pattern of Hg4TeBr4 was calculated for Cu Kα.
Neutral-atom scattering factors, no anomalous dispersion.

```
data_Hg4TeBr4
_chemical_formula_sum 'Hg8 Te2 Br8'
_space_group_name_H-M_alt 'P 42/n'
_space_group_IT_number 86
_cell_length_a 9.0484
_cell_length_b 9.0484
_cell_length_c 6.9320
_cell_angle_alpha 90.00
_cell_angle_beta 90.00
_cell_angle_gamma 90.00
loop_
_space_group_symop_operation_xyz
'x,y,z'
'-x,-y,-z'
'-y,x+1/2,z+1/2'
'y,-x+1/2,-z+1/2'
'-x+1/2,-y+1/2,z'
'x+1/2,y+1/2,-z'
'y+1/2,-x,z+1/2'
'-y+1/2,x,-z+1/2'
loop_
_atom_site_label
_atom_site_fract_x
_atom_site_fract_y
_atom_site_fract_z
Hg1 0.0219 0.8413 0.0680
Te1 0.2500 0.2500 0.7500
Br1 0.0535 0.8135 0.6452
```

Largest 10 diffraction maxima, low angle first, 2θ = 10–80°:
h k l, 2θ (°), I (rel.)
1 1 1, 18.9, 45
2 0 1, 23.5, 33
1 0 2, 27.6, 46
3 1 0, 31.3, 100
2 1 2, 34.1, 40
3 2 2, 44.6, 27
2 4 0, 44.8, 28
1 2 3, 45.2, 28
1 4 2, 49.1, 25
4 3 3, 65.5, 19

Starting from a crystal structure in Alexandria, relaxed with PBE, the powder XRD pattern of TlHgTeBr was calculated for Cu Kα.
Neutral-atom scattering factors, no anomalous dispersion.

```
data_TlHgTeBr
_chemical_formula_sum 'Tl2 Hg2 Te2 Br2'
_space_group_name_H-M_alt 'C 1 m 1'
_space_group_IT_number 8
_space_group_name_Hall 'C -2y'
_cell_length_a 8.1165
_cell_length_b 4.6815
_cell_length_c 8.5811
_cell_angle_alpha 90.00
_cell_angle_beta 108.23
_cell_angle_gamma 90.00
loop_
_atom_site_label
_atom_site_fract_x
_atom_site_fract_y
_atom_site_fract_z
Tl1 0.0000 0.0000 0.0000
Hg1 0.3149 0.5000 0.4473
Te1 0.4526 0.0000 0.3592
Br1 0.2671 0.0000 0.8003
```

Largest 10 diffraction maxima, low angle first, 2θ = 10–80°:
h k l, 2θ (°), I (rel.)
0 0 2, 21.8, 54
2 0 -1, 22.2, 26
1 1 -1, 23.1, 56
1 1 1, 26.4, 70
2 0 1, 28.6, 100
2 0 -3, 33.9, 31
0 2 0, 38.4, 90
3 1 1, 44.6, 51
2 0 3, 46.6, 51
4 0 -3, 48.6, 24

Starting from a crystal structure in Alexandria, relaxed with PBE, the powder XRD pattern of Ti2HgBr6 was calculated for Cu Kα.
Neutral-atom scattering factors, no anomalous dispersion.

```
data_Ti2HgBr6
_chemical_formula_sum 'Ti2 Hg1 Br6'
_space_group_name_H-M_alt 'P -3 1 m'
_space_group_IT_number 162
_space_group_name_Hall '-P 3 2'
_cell_length_a 6.4823
_cell_length_b 6.4823
_cell_length_c 9.7647
_cell_angle_alpha 90.00
_cell_angle_beta 90.00
_cell_angle_gamma 120.00
loop_
_atom_site_label
_atom_site_fract_x
_atom_site_fract_y
_atom_site_fract_z
Ti1 0.3333 0.6667 0.0000
Hg1 0.0000 0.0000 0.5000
Br1 0.0000 0.3513 0.8457
```

Largest 10 diffraction maxima, low angle first, 2θ = 10–80°:
h k l, 2θ (°), I (rel.)
1 0 1, 18.2, 92
0 0 3, 27.4, 27
2 -1 1, 29.0, 74
1 1 2, 33.2, 100
2 0 3, 42.5, 18
2 1 1, 43.7, 17
2 -1 4, 46.6, 34
3 0 0, 48.7, 29
3 0 3, 56.7, 20
4 -2 2, 60.2, 24

Starting from a crystal structure in Alexandria, relaxed with PBE, the powder XRD pattern of Ti4HgBr8 was calculated for Cu Kα.
Neutral-atom scattering factors, no anomalous dispersion.

```
data_Ti4HgBr8
_chemical_formula_sum 'Ti8 Hg2 Br16'
_space_group_name_H-M_alt 'C 1 m 1'
_space_group_IT_number 8
_space_group_name_Hall 'C -2y'
_cell_length_a 20.8711
_cell_length_b 3.3892
_cell_length_c 14.5137
_cell_angle_alpha 90.00
_cell_angle_beta 129.41
_cell_angle_gamma 90.00
loop_
_atom_site_label
_atom_site_fract_x
_atom_site_fract_y
_atom_site_fract_z
Ti1 0.0000 0.0000 0.0000
Ti2 0.0019 0.5000 0.4075
Ti3 0.3869 0.5000 0.3922
Ti4 0.3905 0.0000 0.8015
Hg1 0.1950 0.5000 0.9000
Br1 0.0431 0.0000 0.5733
Br2 0.0493 0.0000 0.3273
Br3 0.1200 0.5000 0.1242
Br4 0.2706 0.5000 0.6774
Br5 0.3400 0.0000 0.4731
Br6 0.3458 0.0000 0.2264
Br7 0.4002 0.0000 0.9875
Br8 0.4903 0.5000 0.8139
```

Largest 10 diffraction maxima, low angle first, 2θ = 10–80°:
h k l, 2θ (°), I (rel.)
0 0 2, 15.8, 26
4 0 -2, 17.1, 33
6 0 -3, 25.8, 45
2 0 -4, 26.2, 100
4 0 1, 27.9, 50
1 1 1, 29.1, 34
3 1 0, 31.2, 68
3 1 -3, 32.3, 58
5 1 -4, 37.1, 52
1 1 4, 45.0, 34

Starting from a crystal structure in Alexandria, relaxed with PBE, the powder XRD pattern of TlHg2Br was calculated for Cu Kα.
Neutral-atom scattering factors, no anomalous dispersion.

```
data_TlHg2Br
_chemical_formula_sum 'Tl2 Hg4 Br2'
_space_group_name_H-M_alt 'C 1 m 1'
_space_group_IT_number 8
_space_group_name_Hall 'C -2y'
_cell_length_a 8.5479
_cell_length_b 4.9494
_cell_length_c 7.7239
_cell_angle_alpha 90.00
_cell_angle_beta 111.76
_cell_angle_gamma 90.00
loop_
_atom_site_label
_atom_site_fract_x
_atom_site_fract_y
_atom_site_fract_z
Tl1 0.0000 0.0000 0.0000
Hg1 0.0038 0.5000 0.5099
Hg2 0.2412 0.0000 0.7225
Br1 0.2302 0.5000 0.1914
```

Largest 10 diffraction maxima, low angle first, 2θ = 10–80°:
h k l, 2θ (°), I (rel.)
1 1 1, 26.6, 100
0 2 0, 36.4, 46
2 0 2, 39.6, 32
2 2 -2, 45.6, 16
4 0 0, 45.7, 8
4 0 -4, 54.8, 13
1 3 1, 59.6, 7
5 1 -3, 59.7, 14
3 1 -5, 64.1, 9
4 2 -4, 67.5, 9